(1)
Structure and calculated X-ray diffraction stick pattern of YNbN2O (a structure optimized by DFT (PBE); a wavelength of 1.5418 Å).

Principal peaks in the range 10° ≤ 2θ ≤ 90°, sorted by position:
2θ 31.15, I 83
2θ 31.25, I 100
2θ 40.62, I 9
2θ 44.71, I 51
2θ 55.58, I 53
2θ 61.86, I 21
2θ 65.20, I 18
2θ 74.02, I 14
2θ 79.55, I 10
2θ 87.92, I 9

Structure:
```
data_YNbN2O
_chemical_formula_sum 'Y6 Nb6 N12 O6'
_symmetry_space_group_name_H-M 'P 1'
_symmetry_Int_Tables_number 1
_symmetry_space_group_name_Hall 'P 1'
_cell_length_a 5.7239
_cell_length_b 5.7239
_cell_length_c 14.0890
_cell_angle_alpha 90.00
_cell_angle_beta 90.00
_cell_angle_gamma 120.00
loop_
_atom_site_label
_atom_site_fract_x
_atom_site_fract_y
_atom_site_fract_z
Y1 0.0000 0.0000 0.2500
Y2 0.0000 0.0000 0.7500
Y3 0.3333 0.6667 0.1258
Y4 0.3333 0.6667 0.3742
Y5 0.6667 0.3333 0.6258
Y6 0.6667 0.3333 0.8742
Nb1 0.0000 0.0000 0.0000
Nb2 0.0000 0.0000 0.5000
Nb3 0.3333 0.6667 0.6451
Nb4 0.3333 0.6667 0.8549
Nb5 0.6667 0.3333 0.1451
Nb6 0.6667 0.3333 0.3549
N1 0.1578 0.3155 0.5928
N2 0.1578 0.3155 0.9072
N3 0.1578 0.8422 0.5928
N4 0.1578 0.8422 0.9072
N5 0.3155 0.1578 0.0928
N6 0.3155 0.1578 0.4072
N7 0.6845 0.8422 0.5928
N8 0.6845 0.8422 0.9072
N9 0.8422 0.1578 0.0928
N10 0.8422 0.1578 0.4072
N11 0.8422 0.6845 0.0928
N12 0.8422 0.6845 0.4072
O1 0.0195 0.5097 0.2500
O2 0.4903 0.5097 0.2500
O3 0.4903 0.9805 0.2500
O4 0.5097 0.0195 0.7500
O5 0.5097 0.4903 0.7500
O6 0.9805 0.4903 0.7500
```

(2)
Structure and calculated X-ray diffraction stick pattern of TbAgSeO (a structure optimized by DFT (PBE); a wavelength of 1.5418 Å).

Principal peaks in the range 10° ≤ 2θ ≤ 90°, sorted by position:
2θ 29.19, I 29
2θ 29.94, I 72
2θ 31.36, I 100
2θ 32.41, I 49
2θ 32.62, I 39
2θ 33.70, I 45
2θ 35.20, I 21
2θ 39.48, I 81
2θ 42.99, I 29
2θ 45.44, I 25

Structure:
```
data_TbAgSeO
_chemical_formula_sum 'Tb4 Ag4 Se4 O4'
_symmetry_space_group_name_H-M 'P 1'
_symmetry_Int_Tables_number 1
_symmetry_space_group_name_Hall 'P 1'
_cell_length_a 6.9309
_cell_length_b 6.6278
_cell_length_c 6.3288
_cell_angle_alpha 90.00
_cell_angle_beta 95.71
_cell_angle_gamma 90.00
loop_
_atom_site_label
_atom_site_fract_x
_atom_site_fract_y
_atom_site_fract_z
Tb1 0.0953 0.0563 0.2514
Tb2 0.0953 0.4437 0.7514
Tb3 0.9047 0.5563 0.2486
Tb4 0.9047 0.9437 0.7486
Ag1 0.4240 0.7107 0.4997
Ag2 0.4240 0.7893 0.9997
Ag3 0.5760 0.2107 0.0003
Ag4 0.5760 0.2893 0.5003
Se1 0.3172 0.0612 0.6969
Se2 0.3172 0.4388 0.1969
Se3 0.6828 0.5612 0.8031
Se4 0.6828 0.9388 0.3031
O1 0.0374 0.7162 0.5292
O2 0.0374 0.7838 0.0292
O3 0.9626 0.2162 0.9708
O4 0.9626 0.2838 0.4708
```

(3)
Structure and calculated X-ray diffraction stick pattern of Cu7Ag3 (a structure optimized by DFT (PBE); a wavelength of 1.5418 Å).

Principal peaks in the range 10° ≤ 2θ ≤ 90°, sorted by position:
2θ 29.00, I 8
2θ 36.20, I 14
2θ 40.87, I 93
2θ 42.00, I 100
2θ 45.16, I 62
2θ 53.95, I 23
2θ 67.43, I 13
2θ 72.93, I 27
2θ 79.65, I 9
2θ 81.94, I 19

Structure:
```
data_Cu7Ag3
_chemical_formula_sum 'Cu7 Ag3'
_symmetry_space_group_name_H-M 'P 1'
_symmetry_Int_Tables_number 1
_symmetry_space_group_name_Hall 'P 1'
_cell_length_a 2.7779
_cell_length_b 3.3990
_cell_length_c 14.5243
_cell_angle_alpha 90.00
_cell_angle_beta 90.00
_cell_angle_gamma 90.00
loop_
_atom_site_label
_atom_site_fract_x
_atom_site_fract_y
_atom_site_fract_z
Cu1 0.0000 0.0000 0.0000
Cu2 0.0000 0.0000 0.1750
Cu3 0.0000 0.0000 0.3503
Cu4 0.0000 0.0000 0.7833
Cu5 0.5000 0.5000 0.0863
Cu6 0.5000 0.5000 0.2638
Cu7 0.5000 0.5000 0.6988
Ag1 0.0000 0.0000 0.5892
Ag2 0.5000 0.5000 0.4589
Ag3 0.5000 0.5000 0.8920
```

(4)
Structure and calculated X-ray diffraction stick pattern of La2Nd2O5 (a structure optimized by DFT (PBE); a wavelength of 1.5418 Å).

Principal peaks in the range 10° ≤ 2θ ≤ 90°, sorted by position:
2θ 27.60, I 65
2θ 30.94, I 100
2θ 39.43, I 40
2θ 48.81, I 7
2θ 50.94, I 50
2θ 56.99, I 25
2θ 64.47, I 24
2θ 66.27, I 11
2θ 79.93, I 16
2θ 84.87, I 12

Structure:
```
data_La2Nd2O5
_chemical_formula_sum 'La2 Nd2 O5'
_symmetry_space_group_name_H-M 'P 1'
_symmetry_Int_Tables_number 1
_symmetry_space_group_name_Hall 'P 1'
_cell_length_a 4.5703
_cell_length_b 4.5703
_cell_length_c 7.4629
_cell_angle_alpha 90.00
_cell_angle_beta 90.00
_cell_angle_gamma 90.00
loop_
_atom_site_label
_atom_site_fract_x
_atom_site_fract_y
_atom_site_fract_z
La1 0.0000 0.0000 0.0000
La2 0.0000 0.0000 0.5000
Nd1 0.5000 0.5000 0.2155
Nd2 0.5000 0.5000 0.7845
O1 0.0000 0.5000 0.2290
O2 0.0000 0.5000 0.7710
O3 0.5000 0.0000 0.2290
O4 0.5000 0.0000 0.7710
O5 0.5000 0.5000 0.5000
```

(5)
Structure and calculated X-ray diffraction stick pattern of LiCu3SnSe4 (a structure optimized by DFT (PBE); a wavelength of 1.5418 Å).

Principal peaks in the range 10° ≤ 2θ ≤ 90°, sorted by position:
2θ 15.12, I 85
2θ 28.69, I 100
2θ 31.66, I 30
2θ 35.46, I 32
2θ 37.79, I 31
2θ 39.14, I 32
2θ 40.09, I 40
2θ 44.63, I 60
2θ 44.93, I 51
2θ 47.55, I 39

Structure:
```
data_LiCu3SnSe4
_chemical_formula_sum 'Li2 Cu6 Sn2 Se8'
_symmetry_space_group_name_H-M 'P 1'
_symmetry_Int_Tables_number 1
_symmetry_space_group_name_Hall 'P 1'
_cell_length_a 5.5971
_cell_length_b 7.6501
_cell_length_c 9.5140
_cell_angle_alpha 90.00
_cell_angle_beta 106.54
_cell_angle_gamma 90.00
loop_
_atom_site_label
_atom_site_fract_x
_atom_site_fract_y
_atom_site_fract_z
Li1 0.2160 0.2500 0.4354
Li2 0.7840 0.7500 0.5646
Cu1 0.2609 0.5677 0.0227
Cu2 0.2609 0.9323 0.0227
Cu3 0.4107 0.7500 0.2665
Cu4 0.5893 0.2500 0.7335
Cu5 0.7391 0.0677 0.9773
Cu6 0.7391 0.4323 0.9773
Sn1 0.0709 0.2500 0.7944
Sn2 0.9291 0.7500 0.2056
Se1 0.0927 0.2500 0.0969
Se2 0.2529 0.7500 0.4775
Se3 0.3740 0.5104 0.7816
Se4 0.3740 0.9896 0.7816
Se5 0.6260 0.0104 0.2184
Se6 0.6260 0.4896 0.2184
Se7 0.7471 0.2500 0.5225
Se8 0.9073 0.7500 0.9031
```

(6)
Structure and calculated X-ray diffraction stick pattern of Cd3GeSe4 (a structure optimized by DFT (PBE); a wavelength of 1.5418 Å).

Principal peaks in the range 10° ≤ 2θ ≤ 90°, sorted by position:
2θ 24.70, I 100
2θ 40.63, I 26
2θ 41.02, I 50
2θ 48.13, I 32
2θ 48.81, I 15
2θ 58.80, I 8
2θ 65.32, I 12
2θ 74.19, I 17
2θ 74.99, I 8
2θ 79.31, I 7

Structure:
```
data_Cd3GeSe4
_chemical_formula_sum 'Cd6 Ge2 Se8'
_symmetry_space_group_name_H-M 'P 1'
_symmetry_Int_Tables_number 1
_symmetry_space_group_name_Hall 'P 1'
_cell_length_a 6.2812
_cell_length_b 6.2812
_cell_length_c 12.3348
_cell_angle_alpha 90.00
_cell_angle_beta 90.00
_cell_angle_gamma 90.00
loop_
_atom_site_label
_atom_site_fract_x
_atom_site_fract_y
_atom_site_fract_z
Cd1 0.0000 0.0000 0.0000
Cd2 0.0000 0.5000 0.2500
Cd3 0.0000 0.5000 0.7500
Cd4 0.5000 0.0000 0.2500
Cd5 0.5000 0.0000 0.7500
Cd6 0.5000 0.5000 0.5000
Ge1 0.0000 0.0000 0.5000
Ge2 0.5000 0.5000 0.0000
Se1 0.2469 0.2469 0.1260
Se2 0.2469 0.7531 0.8740
Se3 0.2531 0.2531 0.6260
Se4 0.2531 0.7469 0.3740
Se5 0.7469 0.2531 0.3740
Se6 0.7469 0.7469 0.6260
Se7 0.7531 0.2469 0.8740
Se8 0.7531 0.7531 0.1260
```

(7)
Structure and calculated X-ray diffraction stick pattern of Tm2AsSe (a structure optimized by DFT (PBE); a wavelength of 1.5418 Å).

Principal peaks in the range 10° ≤ 2θ ≤ 90°, sorted by position:
2θ 27.05, I 37
2θ 31.28, I 100
2θ 31.42, I 50
2θ 44.83, I 37
2θ 44.93, I 74
2θ 55.77, I 38
2θ 74.22, I 24
2θ 74.45, I 17
2θ 82.80, I 13
2θ 82.96, I 12

Structure:
```
data_Tm2AsSe
_chemical_formula_sum 'Tm4 As2 Se2'
_symmetry_space_group_name_H-M 'P 1'
_symmetry_Int_Tables_number 1
_symmetry_space_group_name_Hall 'P 1'
_cell_length_a 4.0396
_cell_length_b 5.6938
_cell_length_c 8.0962
_cell_angle_alpha 90.00
_cell_angle_beta 90.00
_cell_angle_gamma 90.00
loop_
_atom_site_label
_atom_site_fract_x
_atom_site_fract_y
_atom_site_fract_z
Tm1 0.2500 0.2500 0.1158
Tm2 0.2500 0.2500 0.6373
Tm3 0.7500 0.7500 0.3627
Tm4 0.7500 0.7500 0.8842
As1 0.2500 0.7500 0.1264
As2 0.7500 0.2500 0.8736
Se1 0.2500 0.7500 0.6216
Se2 0.7500 0.2500 0.3784
```

(8)
Structure and calculated X-ray diffraction stick pattern of Ba4Nd2Cd3Se10 (a structure optimized by DFT (PBE); a wavelength of 1.5418 Å).

Principal peaks in the range 10° ≤ 2θ ≤ 90°, sorted by position:
2θ 24.59, I 20
2θ 28.29, I 100
2θ 28.79, I 58
2θ 30.60, I 15
2θ 31.03, I 13
2θ 33.63, I 30
2θ 38.50, I 17
2θ 41.05, I 50
2θ 47.05, I 21
2θ 50.91, I 23

Structure:
```
data_Ba4Nd2Cd3Se10
_chemical_formula_sum 'Ba8 Nd4 Cd6 Se20'
_symmetry_space_group_name_H-M 'P 1'
_symmetry_Int_Tables_number 1
_symmetry_space_group_name_Hall 'P 1'
_cell_length_a 9.7921
_cell_length_b 9.7921
_cell_length_c 27.9643
_cell_angle_alpha 90.00
_cell_angle_beta 90.00
_cell_angle_gamma 154.05
loop_
_atom_site_label
_atom_site_fract_x
_atom_site_fract_y
_atom_site_fract_z
Ba1 0.0755 0.9245 0.5000
Ba2 0.0937 0.9063 0.6811
Ba3 0.3348 0.6652 0.4510
Ba4 0.3347 0.6653 0.7344
Ba5 0.6653 0.3347 0.2344
Ba6 0.6652 0.3348 0.9510
Ba7 0.9063 0.0937 0.1811
Ba8 0.9245 0.0755 0.0000
Nd1 0.0033 0.9967 0.8417
Nd2 0.4169 0.5831 0.5957
Nd3 0.5831 0.4169 0.0957
Nd4 0.9967 0.0033 0.3417
Cd1 0.2843 0.7157 0.0736
Cd2 0.3430 0.6570 0.3027
Cd3 0.3505 0.6495 0.8872
Cd4 0.6495 0.3505 0.3872
Cd5 0.6570 0.3430 0.8027
Cd6 0.7157 0.2843 0.5736
Se1 0.0798 0.9202 0.1665
Se2 0.0929 0.9071 0.0234
Se3 0.1548 0.8452 0.3320
Se4 0.1580 0.8420 0.8601
Se5 0.2620 0.7380 0.6126
Se6 0.2896 0.7104 0.2182
Se7 0.2926 0.7074 0.9739
Se8 0.4281 0.5719 0.0900
Se9 0.4848 0.5152 0.2714
Se10 0.4903 0.5097 0.9162
Se11 0.5097 0.4903 0.4162
Se12 0.5152 0.4848 0.7714
Se13 0.5719 0.4281 0.5900
Se14 0.7074 0.2926 0.4739
Se15 0.7104 0.2896 0.7182
Se16 0.7380 0.2620 0.1126
Se17 0.8420 0.1580 0.3601
Se18 0.8452 0.1548 0.8320
Se19 0.9071 0.0929 0.5234
Se20 0.9202 0.0798 0.6665
```